(1)
# KRb4Na
Computed X-ray diffraction stick pattern, Cu Kα, 1.54184 Å. Input: a structure optimized by DFT (GGA-PBE).
Intensities are scaled so that the largest is 100.

Peak list (6 most intense, 2θ from 5° to 70°, low angle first)
2θ = 19.89°, d 4.463, intensity 29, hkl 2 2 -1; 2θ = 22.42°, d 3.966, intensity 72, hkl 2 0 -2; 2θ = 23.00°, d 3.868, intensity 100, hkl 2 2 1; 2θ = 23.12°, d 3.848, intensity 98, hkl 4 2 -1; 2θ = 23.27°, d 3.822, intensity 43, hkl 4 0 1; 2θ = 23.47°, d 3.790, intensity 43, hkl 6 0 -1

Atomic structure:
```
data_KRb4Na
_space_group_name_H-M_alt 'C 1 2/m 1'
_space_group_IT_number 12
_space_group_name_Hall '-C 2y'
_cell_length_a 23.0218
_cell_length_b 11.1500
_cell_length_c 7.9320
_cell_angle_alpha 90.00
_cell_angle_beta 109.58
_cell_angle_gamma 90.00
loop_
_atom_site_label
_atom_site_fract_x
_atom_site_fract_y
_atom_site_fract_z
K1 0.1992 0.0000 0.2000
Rb1 0.0000 0.1937 0.0000
Rb2 0.1271 0.2310 0.6275
Rb3 0.1736 0.5000 0.1736
Na1 0.0001 0.5000 0.2784
```

=====

(2)
# K3Rb8Na
Computed X-ray diffraction stick pattern, Cu Kα, 1.54184 Å. Input: a structure optimized by DFT (GGA-PBE).
Intensities are scaled so that the largest is 100.

Peak list (6 most intense, 2θ from 5° to 70°, low angle first)
2θ = 17.79°, d 4.985, intensity 100, hkl 2 1 1; 2θ = 18.64°, d 4.760, intensity 66, hkl 2 0 2; 2θ = 21.48°, d 4.137, intensity 64, hkl 2 2 0; 2θ = 23.55°, d 3.777, intensity 61, hkl 2 1 3; 2θ = 26.43°, d 3.372, intensity 85, hkl 3 1 2; 2θ = 32.50°, d 2.755, intensity 73, hkl 4 0 2

Atomic structure:
```
data_K3Rb8Na
_space_group_name_H-M_alt 'I -4 2 m'
_space_group_IT_number 121
_space_group_name_Hall 'I -4 2'
_cell_length_a 11.7013
_cell_length_b 11.7013
_cell_length_c 16.3732
_cell_angle_alpha 90.00
_cell_angle_beta 90.00
_cell_angle_gamma 90.00
loop_
_atom_site_label
_atom_site_fract_x
_atom_site_fract_y
_atom_site_fract_z
K1 0.0000 0.0000 0.0000
K2 0.0000 0.5000 0.2500
Rb1 0.1330 0.1330 0.7264
Rb2 0.2356 0.2356 0.4684
Na1 0.0000 0.0000 0.5000
```

=====

(3)
# K3Rb3Na2
Computed X-ray diffraction stick pattern, Cu Kα, 1.54184 Å. Input: a structure optimized by DFT (GGA-PBE).
Intensities are scaled so that the largest is 100.

Peak list (6 most intense, 2θ from 5° to 70°, low angle first)
2θ = 19.96°, d 4.449, intensity 19, hkl 1 1 2; 2θ = 23.69°, d 3.756, intensity 100, hkl 1 1 -1; 2θ = 23.75°, d 3.746, intensity 33, hkl -1 1 2; 2θ = 26.23°, d 3.397, intensity 30, hkl 0 2 1; 2θ = 26.52°, d 3.361, intensity 29, hkl 2 0 1; 2θ = 44.83°, d 2.022, intensity 18, hkl 1 -3 1

Atomic structure:
```
data_K3Rb3Na2
_space_group_name_H-M_alt 'P -1'
_space_group_IT_number 2
_space_group_name_Hall '-P 1'
_cell_length_a 6.7220
_cell_length_b 6.7948
_cell_length_c 13.0257
_cell_angle_alpha 75.01
_cell_angle_beta 75.06
_cell_angle_gamma 89.78
loop_
_atom_site_label
_atom_site_fract_x
_atom_site_fract_y
_atom_site_fract_z
K1 0.0000 0.0000 0.0000
K2 0.1471 0.6490 0.7056
Rb1 0.3554 0.8577 0.2889
Rb2 0.5000 0.5000 0.0000
Na1 0.2507 0.2563 0.4993
```

=====

(4)
# K5Rb3Na2
Computed X-ray diffraction stick pattern, Cu Kα, 1.54184 Å. Input: a structure optimized by DFT (GGA-PBE).
Intensities are scaled so that the largest is 100.

Peak list (6 most intense, 2θ from 5° to 70°, low angle first)
2θ = 19.82°, d 4.480, intensity 42, hkl 2 3 1; 2θ = 22.26°, d 3.993, intensity 99, hkl 4 2 0; 2θ = 22.49°, d 3.954, intensity 100, hkl 0 2 2; 2θ = 26.94°, d 3.309, intensity 37, hkl 2 5 1; 2θ = 29.07°, d 3.072, intensity 71, hkl 4 0 2; 2θ = 34.42°, d 2.605, intensity 33, hkl 4 4 2

Atomic structure:
```
data_K5Rb3Na2
_space_group_name_H-M_alt 'I b a m'
_space_group_IT_number 72
_space_group_name_Hall '-I 2 2c'
_cell_length_a 17.4822
_cell_length_b 19.6378
_cell_length_c 8.6396
_cell_angle_alpha 90.00
_cell_angle_beta 90.00
_cell_angle_gamma 90.00
loop_
_atom_site_label
_atom_site_fract_x
_atom_site_fract_y
_atom_site_fract_z
K1 0.0000 0.0000 0.2500
K2 0.1085 0.1684 0.0000
K3 0.2433 0.0000 0.2500
Rb1 0.0000 0.5000 0.2500
Rb2 0.1293 0.2763 0.5000
Na1 0.1464 0.3581 0.0000
```